Diffraction record for Sr2TmBe2O6. The powder XRD pattern is computed, not measured: it uses a structure optimized by DFT (GGA-PBE) and Cu Kα.

```
data_Sr2TmBe2O6
_cell_length_a 5.5205
_cell_length_b 5.5205
_cell_length_c 16.9882
_cell_angle_alpha 90.00
_cell_angle_beta 90.00
_cell_angle_gamma 120.00
_space_group_name_H-M_alt 'R -3 m'
_space_group_IT_number 166
_space_group_name_Hall '-R 3 2"'
loop_
_atom_site_label
_atom_site_type_symbol
_atom_site_fract_x
_atom_site_fract_y
_atom_site_fract_z
Sr1 Sr 0.0000 0.0000 0.2091
Tm1 Tm 0.0000 0.0000 0.0000
Be1 Be 0.0000 0.0000 0.4215
O1 O 0.0124 0.5062 0.2467
```

The 10 most intense peaks (2θ from 10° to 90°), in order of rising 2θ:
2θ (°)  intensity
19.3  100
28.1  52
32.3  92
32.4  78
38.0  20
43.4  40
46.4  35
50.8  19
57.8  47
59.3  23